No. 1
The following is a computed powder diffraction line list of Cd12Hg16Pb. It was derived from DFT lattice parameters and positions (PBE), using λ = 1.5418 Å (Cu Kα).
Kinematic intensities with the Lorentz-polarization factor, no thermal factor.

Top 8 peaks for 5 to 70 degrees two-theta, in order of rising 2θ:
hkl  Position (°2θ)  I/Imax
4 0 -2  30.99  338
4 0 -1  31.93  729
3 3 0  31.97  353
1 5 1  32.64  1000
1 5 -2  33.61  327
3 3 -3  34.85  397
3 5 -2  36.59  345
2 0 2  37.25  365

Atomic structure:
a b c (Å): 11.6165 16.6665 9.0427
angles (deg): 90.00 123.16 90.00
Space group Cm (No. 8)
Unique sites:
Cd: 0.0000 0.0000 0.0000 x2
Cd: 0.0108 0.4044 0.8554 x4
Cd: 0.2260 0.1884 0.6600 x4
Cd: 0.2975 0.1099 0.1646 x4
Cd: 0.2982 0.5000 0.5937 x2
Cd: 0.4418 0.2219 0.0401 x4
Cd: 0.4440 0.4022 0.4679 x4
Hg: 0.0251 0.5000 0.1589 x2
Hg: 0.0380 0.1780 0.8279 x4
Hg: 0.0881 0.1300 0.2717 x4
Hg: 0.1577 0.3358 0.4084 x4
Hg: 0.1734 0.0000 0.8377 x2
Hg: 0.2430 0.0000 0.5662 x2
Hg: 0.2541 0.2981 0.1438 x4
Hg: 0.2573 0.3713 0.8119 x4
Hg: 0.2954 0.5000 0.1209 x2
Hg: 0.4317 0.2014 0.5189 x4
Pb: 0.4882 0.0000 0.5084 x2

No. 2
The following is a computed powder diffraction line list of Y2GaSnGe. It was derived from DFT lattice parameters and positions (PBE), using λ = 1.5418 Å (Cu Kα).
Kinematic intensities with the Lorentz-polarization factor, no thermal factor.

Top 8 peaks for 5 to 70 degrees two-theta, in order of rising 2θ:
hkl  Position (°2θ)  I/Imax
1 2 1  32.66  1000
0 3 1  34.02  127
1 1 2  36.75  482
0 4 0  41.59  176
2 0 0  42.52  219
0 3 3  53.53  129
2 4 0  60.99  113
1 5 2  64.97  184

Atomic structure:
a b c (Å): 4.2522 8.6852 6.3687
angles (deg): 90.00 90.00 90.00
Space group Pmmn (No. 59, origin choice 2)
Unique sites:
Y: 0.2500 0.0331 0.2470 x4
Ga: 0.2500 0.7500 0.5514 x2
Sn: 0.2500 0.2500 0.7305 x2
Ge: 0.2500 0.7500 0.9460 x2

No. 3
The following is a computed powder diffraction line list of Tb2Y2Tl. It was derived from DFT lattice parameters and positions (PBE), using λ = 1.5418 Å (Cu Kα).
Kinematic intensities with the Lorentz-polarization factor, no thermal factor.

Top 8 peaks for 5 to 70 degrees two-theta, in order of rising 2θ:
hkl  Position (°2θ)  I/Imax
1 0 0  25.01  215
1 1 1  30.88  794
0 1 5  31.90  1000
1 0 4  33.12  348
0 2 0  34.39  423
1 1 5  40.96  261
1 2 4  48.49  237
2 1 5  61.71  334

Atomic structure:
a b c (Å): 3.5603 5.2149 16.6389
angles (deg): 90.00 90.00 90.00
Space group Amm2 (No. 38)
Unique sites:
Tb: 0.0000 0.0000 0.0000 x2
Tb: 0.0000 0.0000 0.2013 x2
Y: 0.5000 0.0000 0.3860 x2
Y: 0.5000 0.0000 0.6057 x2
Tl: 0.0000 0.0000 0.8036 x2

No. 4
The following is a computed powder diffraction line list of Co3Br2. It was derived from DFT lattice parameters and positions (PBE), using λ = 1.5418 Å (Cu Kα).
Kinematic intensities with the Lorentz-polarization factor, no thermal factor.

Top 8 peaks for 5 to 70 degrees two-theta, in order of rising 2θ:
hkl  Position (°2θ)  I/Imax
1 0 0  26.94  204
1 0 1  29.70  1000
1 0 2  36.88  592
0 0 3  37.46  151
0 1 3  46.74  639
1 1 0  47.58  749
1 1 3  62.07  197
2 0 3  68.91  188

Atomic structure:
a b c (Å): 3.8223 3.8223 7.2032
angles (deg): 90.00 90.00 120.00
Space group P-3m1 (No. 164)
Unique sites:
Co: 0.0000 0.0000 0.0000 x1
Co: 0.3333 0.6667 0.4701 x2
Br: 0.3333 0.6667 0.8100 x2

No. 5
The following is a computed powder diffraction line list of Li2MnVFe. It was derived from DFT lattice parameters and positions (PBE), using λ = 1.5418 Å (Cu Kα).
Kinematic intensities with the Lorentz-polarization factor, no thermal factor.

Top 8 peaks for 5 to 70 degrees two-theta, in order of rising 2θ:
hkl  Position (°2θ)  I/Imax
1 0 0  20.27  291
1 1 0  28.81  1000
1 0 1  30.29  163
1 1 1  36.72  240
2 0 0  41.20  462
0 0 2  45.44  171
1 1 2  54.70  288
2 0 2  63.00  235

Atomic structure:
a b c (Å): 4.3820 4.3820 3.9919
angles (deg): 90.00 90.00 90.00
Space group P4/mmm (No. 123)
Unique sites:
Li: 0.0000 0.5000 0.0000 x2
Mn: 0.0000 0.0000 0.5000 x1
V: 0.5000 0.5000 0.0000 x1
Fe: 0.5000 0.5000 0.5000 x1

No. 6
The following is a computed powder diffraction line list of Ac4Te8Pd3. It was derived from DFT lattice parameters and positions (PBE), using λ = 1.5418 Å (Cu Kα).
Kinematic intensities with the Lorentz-polarization factor, no thermal factor.

Top 8 peaks for 5 to 70 degrees two-theta, in order of rising 2θ:
hkl  Position (°2θ)  I/Imax
1 0 2  20.91  194
1 1 4  32.37  1000
1 0 6  32.95  271
2 0 0  38.34  493
1 0 10  49.54  149
2 1 6  51.44  158
2 2 0  55.36  154
3 1 4  65.61  263

Atomic structure:
a b c (Å): 4.6938 4.6938 20.0027
angles (deg): 90.00 90.00 90.00
Space group P-4m2 (No. 115)
Unique sites:
Ac: 0.0000 0.5000 0.1155 x2
Ac: 0.0000 0.5000 0.6223 x2
Te: 0.0000 0.0000 0.2466 x2
Te: 0.0000 0.5000 0.4207 x2
Te: 0.0000 0.5000 0.9271 x2
Te: 0.5000 0.5000 0.2465 x2
Pd: 0.0000 0.0000 0.0000 x1
Pd: 0.0000 0.0000 0.5000 x1
Pd: 0.5000 0.5000 0.5000 x1

No. 7
The following is a computed powder diffraction line list of NdPa2O6. It was derived from DFT lattice parameters and positions (PBE), using λ = 1.5418 Å (Cu Kα).
Kinematic intensities with the Lorentz-polarization factor, no thermal factor.

Top 8 peaks for 5 to 70 degrees two-theta, in order of rising 2θ:
hkl  Position (°2θ)  I/Imax
1 0 1  28.00  1000
0 0 3  28.31  315
0 1 2  32.53  468
1 1 0  46.47  333
1 0 4  46.87  324
0 2 1  55.14  157
1 1 3  55.31  302
0 1 5  55.66  154

Atomic structure:
a b c (Å): 3.9080 3.9080 9.4581
angles (deg): 90.00 90.00 120.00
Space group P-3m1 (No. 164)
Unique sites:
Nd: 0.0000 0.0000 0.0000 x1
Pa: 0.3333 0.6667 0.6674 x2
O: 0.0000 0.0000 0.2674 x2
O: 0.3333 0.6667 0.4189 x2
O: 0.3333 0.6667 0.8988 x2

No. 8
The following is a computed powder diffraction line list of Rb2SiSbTe4. It was derived from DFT lattice parameters and positions (PBE), using λ = 1.5418 Å (Cu Kα).
Kinematic intensities with the Lorentz-polarization factor, no thermal factor.

Top 8 peaks for 5 to 70 degrees two-theta, in order of rising 2θ:
hkl  Position (°2θ)  I/Imax
0 0 4  27.10  1000
2 1 3  29.84  124
0 3 3  34.73  95
0 4 0  37.57  93
2 2 4  38.68  426
4 0 0  39.86  124
0 4 4  46.90  80
4 0 4  48.84  117

Atomic structure:
a b c (Å): 9.0466 9.5770 13.1847
angles (deg): 90.00 90.00 90.00
Space group Imma (No. 74)
Unique sites:
Rb: 0.0000 0.0000 0.0000 x4
Rb: 0.2500 0.2500 0.2500 x4
Si: 0.2500 0.2500 0.7500 x4
Sb: 0.0000 0.0000 0.5000 x4
Te: 0.0000 0.0554 0.7388 x8
Te: 0.2243 0.2500 0.5282 x8

No. 9
The following is a computed powder diffraction line list of Li2CaCd2Ag2. It was derived from DFT lattice parameters and positions (PBE), using λ = 1.5418 Å (Cu Kα).
Kinematic intensities with the Lorentz-polarization factor, no thermal factor.

Top 8 peaks for 5 to 70 degrees two-theta, in order of rising 2θ:
hkl  Position (°2θ)  I/Imax
0 0 1  11.25  336
1 1 0  22.14  489
1 1 -1  23.09  621
1 1 2  34.43  421
2 0 -3  34.73  209
2 0 2  37.45  263
1 1 -3  37.74  510
0 2 0  38.26  1000

Atomic structure:
a b c (Å): 8.1438 4.7089 8.2934
angles (deg): 90.00 108.48 90.00
Space group C2/m (No. 12)
Unique sites:
Li: 0.0708 0.0000 0.2120 x4
Ca: 0.0000 0.5000 0.5000 x2
Cd: 0.1355 0.5000 0.9081 x4
Ag: 0.2427 0.0000 0.7264 x4

No. 10
The following is a computed powder diffraction line list of La5Tb6. It was derived from DFT lattice parameters and positions (PBE), using λ = 1.5418 Å (Cu Kα).
Kinematic intensities with the Lorentz-polarization factor, no thermal factor.

Top 8 peaks for 5 to 70 degrees two-theta, in order of rising 2θ:
hkl  Position (°2θ)  I/Imax
2 0 -2  30.31  338
4 0 0  30.47  1000
2 0 2  34.66  237
3 3 -1  35.58  443
1 3 -3  50.43  161
5 3 1  50.61  160
6 0 2  59.57  143
7 3 -1  60.76  186

Atomic structure:
a b c (Å): 11.8910 10.6776 6.3056
angles (deg): 90.00 99.03 90.00
Space group C2/m (No. 12)
Unique sites:
La: 0.0000 0.0000 0.0000 x2
La: 0.0000 0.1712 0.5000 x4
La: 0.0000 0.3379 0.0000 x4
Tb: 0.2454 0.1667 0.2382 x8
Tb: 0.2494 0.0000 0.7383 x4

No. 11
The following is a computed powder diffraction line list of Nd15Tm4Sc. It was derived from DFT lattice parameters and positions (PBE), using λ = 1.5418 Å (Cu Kα).
Kinematic intensities with the Lorentz-polarization factor, no thermal factor.

Top 8 peaks for 5 to 70 degrees two-theta, in order of rising 2θ:
hkl  Position (°2θ)  I/Imax
1 1 5  30.23  1000
2 0 0  35.00  340
0 0 10  35.15  167
2 2 0  50.33  121
2 0 10  50.45  239
3 1 5  59.85  288
1 1 15  60.05  140
2 2 10  62.88  123

Atomic structure:
a b c (Å): 5.1274 5.1274 25.5286
angles (deg): 90.00 90.00 90.00
Space group P4/mmm (No. 123)
Unique sites:
Nd: 0.0000 0.0000 0.0000 x1
Nd: 0.0000 0.0000 0.1983 x2
Nd: 0.0000 0.0000 0.3994 x2
Nd: 0.0000 0.5000 0.0977 x4
Nd: 0.0000 0.5000 0.2989 x4
Nd: 0.0000 0.5000 0.5000 x2
Tm: 0.5000 0.5000 0.1983 x2
Tm: 0.5000 0.5000 0.3994 x2
Sc: 0.5000 0.5000 0.0000 x1

No. 12
The following is a computed powder diffraction line list of B7C5. It was derived from DFT lattice parameters and positions (PBE), using λ = 1.5418 Å (Cu Kα).
Kinematic intensities with the Lorentz-polarization factor, no thermal factor.

Top 8 peaks for 5 to 70 degrees two-theta, in order of rising 2θ:
hkl  Position (°2θ)  I/Imax
0 0 1  11.21  1000
1 0 1  22.03  27
0 0 2  22.52  254
1 1 -1  39.41  144
1 1 1  40.06  34
2 0 2  44.94  38
0 0 4  45.98  59
0 2 0  69.29  27

Atomic structure:
a b c (Å): 4.8674 2.7122 7.9081
angles (deg): 90.00 93.35 90.00
Space group Pm (No. 6)
Unique sites:
B: 0.0000 0.0000 0.0000 x1
B: 0.0069 0.5000 0.5248 x1
B: 0.1315 0.5000 0.7746 x1
B: 0.2826 0.0000 0.6615 x1
B: 0.4969 0.5000 0.9939 x1
B: 0.5784 0.5000 0.5253 x1
B: 0.7118 0.0000 0.7747 x1
C: 0.1299 0.0000 0.4708 x1
C: 0.1691 0.5000 0.9835 x1
C: 0.4380 0.0000 0.4814 x1
C: 0.6663 0.0000 0.9753 x1
C: 0.8044 0.5000 0.6894 x1

No. 13
The following is a computed powder diffraction line list of Pa2GaPd6. It was derived from DFT lattice parameters and positions (PBE), using λ = 1.5418 Å (Cu Kα).
Kinematic intensities with the Lorentz-polarization factor, no thermal factor.

Top 8 peaks for 5 to 70 degrees two-theta, in order of rising 2θ:
hkl  Position (°2θ)  I/Imax
2 0 -1  23.57  145
0 0 2  30.44  233
0 2 1  35.06  166
2 0 2  35.59  328
4 0 0  36.48  178
2 2 1  39.68  1000
4 0 2  48.23  177
6 2 0  65.66  190

Atomic structure:
a b c (Å): 9.8508 5.6885 5.8728
angles (deg): 90.00 90.08 90.00
Space group C2/m (No. 12)
Unique sites:
Pa: 0.1667 0.0000 0.3048 x4
Ga: 0.0000 0.5000 0.5000 x2
Pd: 0.0870 0.2391 0.8121 x8
Pd: 0.1739 0.5000 0.1886 x4